Diffraction record for Rb2PtCl6. The powder X-ray diffraction pattern is calculated, not measured: it uses a cell relaxed with GGA-PBE and a wavelength of 1.5418 Å.
Intensities are scaled so that the largest is 100.

Principal peaks in the range 10° ≤ 2θ ≤ 90°, in order of rising 2θ:
2theta	I (rel.)
15.05	100.0
24.70	85.7
29.05	43.9
30.38	15.2
35.22	64.5
43.49	37.7
46.28	24.3
50.66	42.1
53.16	22.6
57.15	19.9
68.94	21.9
85.14	17.5

Structure:
```
Rb2PtCl6
1.0
0.000 5.097 5.097
5.097 0.000 5.097
5.097 5.097 0.000
Rb Pt Cl
2 1 6
Cartesian
2.548 2.548 2.548
7.645 7.645 7.645
0.000 0.000 0.000
5.097 5.097 2.353
5.097 2.353 5.097
7.840 5.097 5.097
2.353 5.097 5.097
5.097 7.840 5.097
5.097 5.097 7.840
```